Structure and theoretical X-ray powder pattern of Nd4YEr3S8 (a crystal structure in Alexandria, relaxed with PBE; Cu Kα X-rays).
No peak broadening, texture or thermal motion is included.

Cell and atoms:
```
Nd4YEr3S8
1.0
3.9340 2.2713 6.6332
-3.9340 2.2713 6.6332
0.0000 -4.5425 6.6332
Nd Y Er S
4 1 3 8
Direct
0.0000 0.0000 0.0000 Nd
0.0000 0.5000 0.5000 Nd
0.5000 0.0000 0.5000 Nd
0.5000 0.5000 0.0000 Nd
0.5000 0.5000 0.5000 Y
0.0000 0.0000 0.5000 Er
0.0000 0.5000 0.0000 Er
0.5000 0.0000 0.0000 Er
0.2411 0.7449 0.7449 S
0.2431 0.2431 0.2431 S
0.2551 0.2551 0.7589 S
0.2551 0.7589 0.2551 S
0.7449 0.2411 0.7449 S
0.7449 0.7449 0.2411 S
0.7569 0.7569 0.7569 S
0.7589 0.2551 0.2551 S
```

Most intense lines, 2θ = 10–90°, in order of rising 2θ:
26.88°, d 3.317, rel. 20; 27.68°, d 3.223, rel. 56; 31.84°, d 2.811, rel. 100; 45.13°, d 2.009, rel. 37; 46.15°, d 1.967, rel. 35; 53.31°, d 1.718, rel. 10; 54.22°, d 1.692, rel. 19; 57.16°, d 1.612, rel. 18; 66.53°, d 1.405, rel. 11; 74.90°, d 1.268, rel. 16; 76.40°, d 1.247, rel. 16; 84.78°, d 1.144, rel. 12

---

Structure and theoretical X-ray powder pattern of Nd2YErS6 (a crystal structure in Alexandria, relaxed with PBE; Cu Kα X-rays).
No peak broadening, texture or thermal motion is included.

Cell and atoms:
```
Nd2YErS6
1.0
3.5234 2.0342 6.1927
-3.5234 2.0342 6.1927
0.0000 -4.0684 6.1927
Nd Y Er S
2 1 1 6
Direct
0.0000 0.0000 0.0000 Nd
0.4995 0.4995 0.4995 Nd
0.2057 0.2057 0.2057 Y
0.7050 0.7050 0.7050 Er
0.0846 0.4177 0.8211 S
0.3229 0.9140 0.5880 S
0.4177 0.8211 0.0845 S
0.5880 0.3229 0.9140 S
0.8211 0.0845 0.4177 S
0.9140 0.5880 0.3229 S
```

Most intense lines, 2θ = 10–90°, in order of rising 2θ:
17.39°, d 5.100, rel. 37; 24.08°, d 3.696, rel. 100; 25.28°, d 3.523, rel. 95; 29.16°, d 3.062, rel. 22; 35.19°, d 2.550, rel. 52; 38.71°, d 2.326, rel. 75; 43.82°, d 2.066, rel. 50; 44.54°, d 2.034, rel. 50; 51.41°, d 1.777, rel. 22; 60.46°, d 1.531, rel. 19; 64.39°, d 1.447, rel. 19; 78.12°, d 1.223, rel. 16

---

Structure and theoretical X-ray powder pattern of NdY2ErS4 (a crystal structure in Alexandria, relaxed with PBE; Cu Kα X-rays).
No peak broadening, texture or thermal motion is included.

Cell and atoms:
```
NdY2ErS4
1.0
6.8260 0.0000 0.0000
0.0000 3.9029 0.0000
-2.2385 0.0000 6.5196
Nd Y Er S
1 2 1 4
Direct
0.0000 0.0000 0.0000 Nd
0.5000 0.0000 0.5000 Y
0.5000 0.5000 0.0000 Y
0.0000 0.5000 0.5000 Er
0.2505 0.0000 0.7413 S
0.2576 0.5000 0.2616 S
0.7424 0.5000 0.7384 S
0.7495 0.0000 0.2587 S
```

Most intense lines, 2θ = 10–90°, in order of rising 2θ:
27.36°, d 3.260, rel. 16; 27.63°, d 3.228, rel. 16; 27.89°, d 3.199, rel. 31; 32.09°, d 2.789, rel. 100; 45.52°, d 1.993, rel. 12; 45.83°, d 1.980, rel. 24; 46.18°, d 1.966, rel. 23; 46.54°, d 1.951, rel. 11; 57.63°, d 1.599, rel. 12; 67.11°, d 1.395, rel. 11; 76.06°, d 1.251, rel. 10; 76.58°, d 1.244, rel. 10

---

Structure and theoretical X-ray powder pattern of Nd2ErSb3 (a crystal structure in Alexandria, relaxed with PBE; Cu Kα X-rays).
No peak broadening, texture or thermal motion is included.

Cell and atoms:
```
Nd2ErSb3
1.0
-2.2356 3.1625 6.6957
2.2356 -3.1625 6.6957
2.2356 3.1625 -6.6957
Nd Er Sb
2 1 3
Direct
0.1683 0.1683 0.0000 Nd
0.8317 0.8317 0.0000 Nd
0.5000 0.5000 0.0000 Er
0.0000 0.5000 0.5000 Sb
0.3394 0.8394 0.5000 Sb
0.6606 0.1606 0.5000 Sb
```

Most intense lines, 2θ = 10–90°, in order of rising 2θ:
24.39°, d 3.649, rel. 2; 28.24°, d 3.160, rel. 100; 40.36°, d 2.235, rel. 76; 47.73°, d 1.906, rel. 1; 49.99°, d 1.825, rel. 27; 58.40°, d 1.580, rel. 13; 66.10°, d 1.414, rel. 29; 66.19°, d 1.412, rel. 6; 73.36°, d 1.291, rel. 17; 73.45°, d 1.289, rel. 8; 87.23°, d 1.118, rel. 7; 87.39°, d 1.116, rel. 1

---

Structure and theoretical X-ray powder pattern of Nd2ErSb2Te2 (a crystal structure in Alexandria, relaxed with PBE; Cu Kα X-rays).
No peak broadening, texture or thermal motion is included.

Cell and atoms:
```
Nd2ErSb2Te2
1.0
-2.8506 2.8506 7.8158
2.8506 -2.8506 7.8158
2.8506 2.8506 -7.8158
Nd Er Sb Te
2 1 2 2
Direct
0.1159 0.1159 0.0000 Nd
0.8841 0.8841 0.0000 Nd
0.5000 0.5000 0.0000 Er
0.0000 0.5000 0.5000 Sb
0.5000 0.0000 0.5000 Sb
0.3081 0.3081 0.0000 Te
0.6919 0.6919 0.0000 Te
```

Most intense lines, 2θ = 10–90°, in order of rising 2θ:
11.32°, d 7.816, rel. 40; 22.05°, d 4.031, rel. 58; 24.85°, d 3.583, rel. 22; 31.38°, d 2.851, rel. 100; 31.89°, d 2.806, rel. 24; 32.67°, d 2.741, rel. 87; 44.97°, d 2.016, rel. 37; 45.93°, d 1.976, rel. 68; 56.68°, d 1.624, rel. 18; 66.23°, d 1.411, rel. 23; 74.42°, d 1.275, rel. 16; 75.12°, d 1.265, rel. 16

---

Structure and theoretical X-ray powder pattern of Nd2ErThSb5 (a crystal structure in Alexandria, relaxed with PBE; Cu Kα X-rays).
No peak broadening, texture or thermal motion is included.

Cell and atoms:
```
Nd2ErThSb5
1.0
5.2294 0.0000 0.0000
0.0000 5.2294 0.0000
0.0000 0.0000 11.8763
Nd Er Th Sb
2 1 1 5
Direct
0.0000 0.0000 0.2146 Nd
0.0000 0.0000 0.7854 Nd
0.5000 0.5000 0.0000 Er
0.5000 0.5000 0.5000 Th
0.0000 0.0000 0.5000 Sb
0.0000 0.5000 0.0000 Sb
0.5000 0.0000 0.0000 Sb
0.5000 0.5000 0.2504 Sb
0.5000 0.5000 0.7496 Sb
```

Most intense lines, 2θ = 10–90°, in order of rising 2θ:
22.66°, d 3.925, rel. 28; 24.07°, d 3.698, rel. 96; 25.22°, d 3.531, rel. 34; 30.10°, d 2.969, rel. 59; 33.15°, d 2.702, rel. 48; 34.30°, d 2.615, rel. 100; 38.90°, d 2.315, rel. 41; 46.27°, d 1.962, rel. 73; 49.29°, d 1.849, rel. 36; 55.57°, d 1.654, rel. 20; 58.84°, d 1.569, rel. 35; 64.50°, d 1.445, rel. 19

---

Repeat the fourth record exactly.
Structure and theoretical X-ray powder pattern of Nd2ErSb3 (a crystal structure in Alexandria, relaxed with PBE; Cu Kα X-rays).
No peak broadening, texture or thermal motion is included.

Cell and atoms:
```
Nd2ErSb3
1.0
-2.2356 3.1625 6.6957
2.2356 -3.1625 6.6957
2.2356 3.1625 -6.6957
Nd Er Sb
2 1 3
Direct
0.1683 0.1683 0.0000 Nd
0.8317 0.8317 0.0000 Nd
0.5000 0.5000 0.0000 Er
0.0000 0.5000 0.5000 Sb
0.3394 0.8394 0.5000 Sb
0.6606 0.1606 0.5000 Sb
```

Most intense lines, 2θ = 10–90°, in order of rising 2θ:
24.39°, d 3.649, rel. 2; 28.24°, d 3.160, rel. 100; 40.36°, d 2.235, rel. 76; 47.73°, d 1.906, rel. 1; 49.99°, d 1.825, rel. 27; 58.40°, d 1.580, rel. 13; 66.10°, d 1.414, rel. 29; 66.19°, d 1.412, rel. 6; 73.36°, d 1.291, rel. 17; 73.45°, d 1.289, rel. 8; 87.23°, d 1.118, rel. 7; 87.39°, d 1.116, rel. 1